Structure and simulated X-ray powder pattern of Ac2Nd2Er (a cell relaxed with PBE; a wavelength of 1.5418 Å).
Lines closer than 0.1° are merged.

Cell and atoms:
Unit cell a=6.6683 b=6.6683 c=10.9722 alpha=114.27 beta=114.27 gamma=65.15
Sites, in units of the cell vectors:
Ac: 0.1986 0.2003 0.3496
Ac: 0.2003 0.1986 0.8496
Ac: 0.7997 0.8014 0.1504
Ac: 0.8014 0.7997 0.6504
Nd: 0.2240 0.7752 0.0001
Nd: 0.2248 0.7760 0.4999
Nd: 0.7752 0.2240 0.5001
Nd: 0.7760 0.2248 0.9999
Er: 0.5001 0.4999 0.2500
Er: 0.4999 0.5001 0.7500

Peak list (10 most intense, 2θ from 10° to 80°, in order of falling intensity)
3.259 Å, intensity 100; 2.872 Å, intensity 75; 2.743 Å, intensity 40; 1.643 Å, intensity 34; 2.976 Å, intensity 28; 2.809 Å, intensity 25; 2.897 Å, intensity 25; 2.017 Å, intensity 19; 1.992 Å, intensity 17; 1.579 Å, intensity 17

---

Structure and simulated X-ray powder pattern of Ac2Nd6Er (a cell relaxed with PBE; a wavelength of 1.5418 Å).
Lines closer than 0.1° are merged.

Cell and atoms:
Unit cell a=3.7429 b=3.7429 c=27.5466 alpha=90.00 beta=90.00 gamma=120.00
Sites, in units of the cell vectors:
Ac: 0.0000 0.0000 0.1729
Ac: 0.0000 0.0000 0.8271
Nd: 0.0000 0.0000 0.3967
Nd: 0.0000 0.0000 0.6033
Nd: 0.6667 0.3333 0.0619
Nd: 0.6667 0.3333 0.2895
Nd: 0.6667 0.3333 0.7105
Nd: 0.6667 0.3333 0.9381
Er: 0.6667 0.3333 0.5000

Peak list (10 most intense, 2θ from 10° to 80°, in order of falling intensity)
2.794 Å, intensity 100; 3.059 Å, intensity 64; 2.933 Å, intensity 49; 1.872 Å, intensity 44; 3.241 Å, intensity 42; 1.597 Å, intensity 40; 1.682 Å, intensity 30; 2.225 Å, intensity 25; 1.555 Å, intensity 17; 1.251 Å, intensity 11

---

Structure and simulated X-ray powder pattern of Ac2NdErP4 (a cell relaxed with PBE; a wavelength of 1.5418 Å).
Lines closer than 0.1° are merged.

Cell and atoms:
Unit cell a=7.3721 b=4.2606 c=7.3890 alpha=90.00 beta=109.40 gamma=90.00
Sites, in units of the cell vectors:
Ac: 0.0000 0.0000 0.0000
Ac: 0.5000 0.5000 0.0000
Nd: 0.0000 0.5000 0.5000
Er: 0.5000 0.0000 0.5000
P: 0.2494 0.0000 0.7318
P: 0.2622 0.5000 0.2714
P: 0.7378 0.5000 0.7286
P: 0.7506 0.0000 0.2682

Peak list (10 most intense, 2θ from 10° to 80°, in order of falling intensity)
3.013 Å, intensity 100; 3.480 Å, intensity 97; 2.131 Å, intensity 75; 1.817 Å, intensity 47; 1.348 Å, intensity 23; 1.739 Å, intensity 20; 1.230 Å, intensity 17; 1.507 Å, intensity 12; 1.347 Å, intensity 12; 1.384 Å, intensity 11

---

Structure and simulated X-ray powder pattern of Ac2Pm2NdEr (a cell relaxed with PBE; a wavelength of 1.5418 Å).
Lines closer than 0.1° are merged.

Cell and atoms:
Unit cell a=7.3481 b=5.9213 c=10.2348 alpha=90.00 beta=90.00 gamma=90.00
Sites, in units of the cell vectors:
Ac: 0.0000 0.0000 0.0000
Ac: 0.2500 0.5000 0.1742
Ac: 0.5000 0.0000 0.0000
Ac: 0.7500 0.5000 0.8258
Pm: 0.2500 0.0000 0.3434
Pm: 0.2500 0.5000 0.8270
Pm: 0.7500 0.0000 0.6566
Pm: 0.7500 0.5000 0.1730
Nd: 0.0000 0.5000 0.5000
Nd: 0.5000 0.5000 0.5000
Er: 0.2500 0.0000 0.6638
Er: 0.7500 0.0000 0.3362

Peak list (10 most intense, 2θ from 10° to 80°, in order of falling intensity)
2.958 Å, intensity 100; 2.986 Å, intensity 94; 1.713 Å, intensity 37; 2.101 Å, intensity 35; 1.560 Å, intensity 20; 1.708 Å, intensity 20; 1.251 Å, intensity 15; 1.326 Å, intensity 11; 1.561 Å, intensity 10; 2.304 Å, intensity 9

---

Structure and simulated X-ray powder pattern of AcPm2Nd5Er (a cell relaxed with PBE; a wavelength of 1.5418 Å).
Lines closer than 0.1° are merged.

Cell and atoms:
Unit cell a=10.1783 b=10.1783 c=10.1783 alpha=127.19 beta=127.19 gamma=77.94
Sites, in units of the cell vectors:
Ac: 0.2500 0.2500 0.0000
Ac: 0.7500 0.7500 0.0000
Pm: 0.1159 0.6159 0.7318
Pm: 0.3841 0.1159 0.5000
Pm: 0.6159 0.8841 0.5000
Pm: 0.8841 0.3841 0.2682
Nd: 0.0000 0.0000 0.0000
Nd: 0.0714 0.1622 0.5000
Nd: 0.1622 0.6622 0.0908
Nd: 0.3378 0.4286 0.5000
Nd: 0.4286 0.9286 0.0908
Nd: 0.5000 0.5000 0.0000
Nd: 0.5714 0.0714 0.9092
Nd: 0.6622 0.5714 0.5000
Nd: 0.8378 0.3378 0.9092
Nd: 0.9286 0.8378 0.5000
Er: 0.2500 0.7500 0.5000
Er: 0.7500 0.2500 0.5000

Peak list (10 most intense, 2θ from 10° to 80°, in order of falling intensity)
2.979 Å, intensity 100; 3.206 Å, intensity 93; 1.802 Å, intensity 23; 2.175 Å, intensity 23; 1.682 Å, intensity 21; 2.863 Å, intensity 17; 2.480 Å, intensity 16; 2.493 Å, intensity 15; 1.978 Å, intensity 13; 1.244 Å, intensity 11

---

Structure and simulated X-ray powder pattern of AcPmNd2Er5 (a cell relaxed with PBE; a wavelength of 1.5418 Å).
Lines closer than 0.1° are merged.

Cell and atoms:
Unit cell a=10.0088 b=10.0088 c=10.0088 alpha=127.80 beta=127.80 gamma=76.95
Sites, in units of the cell vectors:
Ac: 0.2500 0.2500 0.0000
Ac: 0.7500 0.7500 0.0000
Pm: 0.2500 0.7500 0.5000
Pm: 0.7500 0.2500 0.5000
Nd: 0.1172 0.6172 0.7343
Nd: 0.3828 0.1172 0.5000
Nd: 0.6172 0.8828 0.5000
Nd: 0.8828 0.3828 0.2657
Er: 0.0000 0.0000 0.0000
Er: 0.0741 0.1603 0.5000
Er: 0.1603 0.6603 0.0862
Er: 0.3397 0.4259 0.5000
Er: 0.4259 0.9259 0.0862
Er: 0.5000 0.5000 0.0000
Er: 0.5741 0.0741 0.9138
Er: 0.6603 0.5741 0.5000
Er: 0.8397 0.3397 0.9138
Er: 0.9259 0.8397 0.5000

Peak list (10 most intense, 2θ from 10° to 80°, in order of falling intensity)
2.927 Å, intensity 100; 3.114 Å, intensity 49; 3.145 Å, intensity 41; 1.759 Å, intensity 22; 2.118 Å, intensity 20; 2.785 Å, intensity 17; 1.658 Å, intensity 15; 2.413 Å, intensity 15; 1.959 Å, intensity 13; 2.452 Å, intensity 13

---

Structure and simulated X-ray powder pattern of AcPm4NdEr2 (a cell relaxed with PBE; a wavelength of 1.5418 Å).
Lines closer than 0.1° are merged.

Cell and atoms:
Unit cell a=5.1631 b=5.1920 c=10.3557 alpha=90.00 beta=90.08 gamma=90.00
Sites, in units of the cell vectors:
Ac: 0.0000 0.0000 0.0000
Pm: 0.9999 0.5000 0.2555
Pm: 0.0001 0.5000 0.7445
Pm: 0.5003 0.0000 0.2567
Pm: 0.4997 0.0000 0.7433
Nd: 0.5000 0.5000 0.5000
Er: 0.0000 0.0000 0.5000
Er: 0.5000 0.5000 0.0000

Peak list (10 most intense, 2θ from 10° to 80°, in order of falling intensity)
2.989 Å, intensity 100; 2.592 Å, intensity 34; 1.832 Å, intensity 24; 2.582 Å, intensity 17; 1.564 Å, intensity 15; 1.558 Å, intensity 15; 1.561 Å, intensity 14; 1.495 Å, intensity 13; 1.828 Å, intensity 12; 1.298 Å, intensity 2

---

Structure and simulated X-ray powder pattern of AcPr2Nd4Er (a cell relaxed with PBE; a wavelength of 1.5418 Å).
Lines closer than 0.1° are merged.

Cell and atoms:
Unit cell a=5.2249 b=5.2449 c=10.5025 alpha=90.00 beta=90.00 gamma=90.00
Sites, in units of the cell vectors:
Ac: 0.0000 0.0000 0.0000
Pr: 0.0000 0.0000 0.5000
Pr: 0.5000 0.5000 0.0000
Nd: 0.0000 0.5000 0.2582
Nd: 0.0000 0.5000 0.7418
Nd: 0.5000 0.0000 0.2579
Nd: 0.5000 0.0000 0.7421
Er: 0.5000 0.5000 0.5000

Peak list (10 most intense, 2θ from 10° to 80°, in order of falling intensity)
3.026 Å, intensity 100; 2.624 Å, intensity 34; 1.582 Å, intensity 29; 1.851 Å, intensity 24; 2.612 Å, intensity 17; 1.577 Å, intensity 15; 1.513 Å, intensity 13; 1.855 Å, intensity 12; 1.201 Å, intensity 12; 1.204 Å, intensity 6